This entry pairs a crystal structure of AsIr3 with its calculated powder diffractogram. Radiation: a wavelength of 1.5418 Å. Structure: a PBE-relaxed structure.

Most intense lines, 2θ from 5° to 70°, in order of rising 2θ:
2θ/deg, d_spacing, intensity
18.91, 4.693, 12.6
38.98, 2.311, 52.0
39.82, 2.264, 100.0
40.92, 2.205, 49.8
45.56, 1.991, 67.2
48.03, 1.894, 29.4
66.20, 1.412, 11.3
66.60, 1.404, 10.3
67.00, 1.397, 21.5
69.69, 1.349, 19.2

Structural model:
```
AsIr3
1.0
4.539 -1.412 0.000
4.539 1.412 0.000
-1.142 0.000 4.693
As Ir
1 3
Cartesian
0.000 0.000 0.000 As
1.485 0.000 3.486 Ir
3.968 0.000 2.347 Ir
6.451 0.000 1.207 Ir
```

=====

This entry pairs a crystal structure of Ac4Tl with its calculated powder diffractogram. Radiation: a wavelength of 1.5418 Å. Structure: a PBE-relaxed structure.

Most intense lines, 2θ from 5° to 70°, in order of rising 2θ:
2θ/deg, d_spacing, intensity
28.14, 3.171, 100.0
28.45, 3.137, 50.1
29.57, 3.021, 82.8
30.04, 2.975, 47.4
35.17, 2.551, 19.8
43.88, 2.063, 12.9
46.71, 1.945, 18.4
51.97, 1.760, 13.8
53.63, 1.709, 12.2
59.27, 1.559, 12.7

Structural model:
```
Ac4Tl
1.0
0.000 8.590 3.593
6.740 0.000 3.593
6.740 8.590 0.000
Ac Tl
8 2
Cartesian
7.613 3.353 3.593 Ac
5.838 6.712 3.463 Ac
9.237 7.648 5.390 Ac
7.642 10.468 3.463 Ac
11.012 11.007 5.260 Ac
5.867 13.827 3.593 Ac
9.208 14.763 5.260 Ac
4.243 9.532 5.390 Ac
6.740 8.590 0.504 Tl
3.370 4.295 2.300 Tl
```

=====

This entry pairs a crystal structure of HfZnInNi with its calculated powder diffractogram. Radiation: a wavelength of 1.5418 Å. Structure: a PBE-relaxed structure.

Most intense lines, 2θ from 5° to 70°, in order of rising 2θ:
2θ/deg, d_spacing, intensity
23.96, 3.715, 4.5
27.73, 3.217, 16.8
39.62, 2.275, 100.0
46.83, 1.940, 2.5
49.05, 1.857, 4.9
57.28, 1.609, 16.6
62.97, 1.476, 1.1
64.80, 1.439, 6.6

Structural model:
```
HfZnInNi
1.0
0.000 3.217 3.217
3.217 0.000 3.217
3.217 3.217 0.000
Hf Zn In Ni
1 1 1 1
Cartesian
0.000 0.000 0.000 Hf
1.609 1.609 1.609 Zn
3.217 3.217 3.217 In
4.826 4.826 4.826 Ni
```

=====

This entry pairs a crystal structure of NaLaTl2Co with its calculated powder diffractogram. Radiation: a wavelength of 1.5418 Å. Structure: a PBE-relaxed structure.

Most intense lines, 2θ from 5° to 70°, in order of rising 2θ:
2θ/deg, d_spacing, intensity
16.89, 5.251, 25.5
17.92, 4.951, 31.3
30.08, 2.970, 100.0
34.15, 2.625, 56.3
36.29, 2.475, 23.9
38.83, 2.319, 18.5
49.07, 1.856, 20.3
50.69, 1.801, 36.9
58.64, 1.574, 31.4
62.54, 1.485, 19.6

Structural model:
```
NaLaTl2Co
1.0
5.251 0.000 0.000
0.000 5.251 0.000
0.000 0.000 4.951
Na La Tl Co
1 1 2 1
Cartesian
0.000 0.000 0.000 Na
2.625 2.625 0.000 La
0.000 2.625 2.475 Tl
2.625 0.000 2.475 Tl
2.625 2.625 2.475 Co
```

=====

This entry pairs a crystal structure of ThSc4Cd3 with its calculated powder diffractogram. Radiation: a wavelength of 1.5418 Å. Structure: a PBE-relaxed structure.

Most intense lines, 2θ from 5° to 70°, in order of rising 2θ:
2θ/deg, d_spacing, intensity
5.77, 15.312, 12.0
23.24, 3.828, 19.8
25.38, 3.509, 32.2
30.93, 2.892, 11.0
34.68, 2.587, 100.0
36.20, 2.481, 48.4
43.46, 2.082, 16.0
52.13, 1.754, 16.5
61.15, 1.515, 14.2
64.14, 1.452, 31.6

Structural model:
```
ThSc4Cd3
1.0
3.509 0.000 0.000
0.000 3.509 0.000
0.000 0.000 15.312
Th Sc Cd
1 4 3
Cartesian
0.000 0.000 0.000 Th
1.754 1.754 2.249 Sc
1.754 1.754 5.887 Sc
1.754 1.754 9.426 Sc
1.754 1.754 13.063 Sc
0.000 0.000 4.057 Cd
0.000 0.000 7.656 Cd
0.000 0.000 11.256 Cd
```

=====

This entry pairs a crystal structure of Ge2Se with its calculated powder diffractogram. Radiation: a wavelength of 1.5418 Å. Structure: a PBE-relaxed structure.

Most intense lines, 2θ from 5° to 70°, in order of rising 2θ:
2θ/deg, d_spacing, intensity
22.88, 3.887, 100.0
25.66, 3.472, 33.0
26.03, 3.424, 27.9
31.00, 2.885, 58.0
34.25, 2.618, 36.2
36.26, 2.478, 42.9
37.01, 2.429, 38.9
43.11, 2.098, 33.1
46.07, 1.970, 29.6
50.70, 1.801, 37.3

Structural model:
```
Ge2Se
1.0
2.097 -5.186 0.000
2.097 5.186 0.000
-0.162 0.000 6.944
Ge Se
4 2
Cartesian
2.016 3.483 3.472 Ge
2.093 2.761 0.980 Ge
2.012 -2.761 4.452 Ge
2.097 -3.483 0.000 Ge
3.532 0.597 2.915 Se
3.451 -0.597 6.387 Se
```

=====

This entry pairs a crystal structure of PuAlInSn with its calculated powder diffractogram. Radiation: a wavelength of 1.5418 Å. Structure: a PBE-relaxed structure.

Most intense lines, 2θ from 5° to 70°, in order of rising 2θ:
2θ/deg, d_spacing, intensity
19.30, 4.599, 17.5
19.94, 4.453, 15.4
27.60, 3.232, 14.2
28.06, 3.180, 14.6
34.28, 2.616, 100.0
39.17, 2.300, 17.4
39.69, 2.271, 16.8
40.51, 2.227, 15.9
67.87, 1.381, 14.1
68.58, 1.368, 13.7

Structural model:
```
PuAlInSn
1.0
4.453 0.000 0.000
0.000 4.542 0.000
0.000 0.000 4.599
Pu Al In Sn
1 1 1 1
Cartesian
0.000 0.000 0.000 Pu
2.227 0.000 2.300 Al
0.000 2.271 2.300 In
2.227 2.271 0.000 Sn
```

=====

This entry pairs a crystal structure of Dy2MgS4 with its calculated powder diffractogram. Radiation: a wavelength of 1.5418 Å. Structure: a PBE-relaxed structure.

Most intense lines, 2θ from 5° to 70°, in order of rising 2θ:
2θ/deg, d_spacing, intensity
15.05, 5.885, 58.9
18.80, 4.721, 94.8
24.01, 3.706, 53.0
26.13, 3.411, 50.9
26.56, 3.355, 48.5
27.20, 3.279, 82.0
38.13, 2.360, 100.0
38.34, 2.348, 40.7
42.87, 2.110, 28.3
46.46, 1.955, 35.9

Structural model:
```
Dy2MgS4
1.0
13.493 0.000 0.000
0.000 7.906 0.000
0.000 0.000 6.540
Dy Mg S
8 4 16
Cartesian
0.000 0.000 0.000 Dy
0.000 3.953 0.000 Dy
3.121 1.977 3.224 Dy
3.626 5.930 6.494 Dy
6.746 0.000 3.270 Dy
6.746 3.953 3.270 Dy
9.867 1.977 0.046 Dy
10.372 5.930 3.316 Dy
1.297 5.930 2.748 Mg
5.450 1.977 6.018 Mg
8.043 5.930 0.522 Mg
12.196 1.977 3.792 Mg
0.939 1.977 4.873 S
1.222 5.930 5.148 S
2.299 4.028 1.545 S
2.299 7.831 1.545 S
4.447 0.075 4.815 S
4.447 3.878 4.815 S
5.525 1.977 1.878 S
5.808 5.930 1.603 S
7.685 1.977 4.937 S
7.968 5.930 4.662 S
9.046 4.028 1.725 S
9.046 7.831 1.725 S
11.194 0.075 4.995 S
11.194 3.878 4.995 S
12.271 1.977 1.392 S
12.554 5.930 1.667 S
```

=====

This entry pairs a crystal structure of Cs3As4H4 with its calculated powder diffractogram. Radiation: a wavelength of 1.5418 Å. Structure: a PBE-relaxed structure.

Most intense lines, 2θ from 5° to 70°, in order of rising 2θ:
2θ/deg, d_spacing, intensity
23.33, 3.813, 92.4
24.82, 3.588, 41.2
25.00, 3.562, 69.0
25.33, 3.516, 73.9
25.49, 3.495, 100.0
28.01, 3.186, 66.0
28.32, 3.151, 43.1
29.59, 3.019, 98.3
38.07, 2.364, 51.2
48.94, 1.861, 44.3

Structural model:
```
Cs3As4H4
1.0
4.728 0.000 0.000
0.008 6.046 0.000
2.204 2.405 11.439
Cs As H
3 4 4
Cartesian
0.000 0.000 0.000 Cs
2.194 5.430 7.452 Cs
4.747 3.022 3.987 Cs
2.500 5.988 3.501 As
2.385 3.057 1.112 As
4.556 5.395 10.328 As
4.441 2.463 7.938 As
0.970 6.057 3.258 H
2.361 1.053 4.590 H
4.579 7.398 6.850 H
5.971 2.394 8.181 H
```

=====

This entry pairs a crystal structure of SrHgO2 with its calculated powder diffractogram. Radiation: a wavelength of 1.5418 Å. Structure: a PBE-relaxed structure.

Most intense lines, 2θ from 5° to 70°, in order of rising 2θ:
2θ/deg, d_spacing, intensity
13.80, 6.415, 16.6
26.80, 3.327, 24.3
27.82, 3.207, 26.5
28.00, 3.187, 100.0
32.39, 2.764, 52.2
46.34, 1.959, 26.6
46.58, 1.950, 28.9
54.91, 1.672, 17.4
55.12, 1.666, 25.1
55.23, 1.663, 15.1

Structural model:
```
SrHgO2
1.0
3.900 0.000 0.000
-1.950 3.377 0.000
0.000 0.000 19.244
Sr Hg O
3 3 6
Cartesian
-0.641 1.111 6.415 Sr
1.283 0.000 12.829 Sr
1.309 2.267 0.000 Sr
-0.655 1.135 16.037 Hg
1.310 0.000 3.207 Hg
1.295 2.243 9.622 Hg
-0.643 1.143 18.038 O
-0.639 3.363 5.208 O
1.311 0.015 1.206 O
1.282 2.249 11.623 O
1.307 2.234 7.621 O
3.232 1.128 14.036 O
```

=====

This entry pairs a crystal structure of AcTbTm2Se4 with its calculated powder diffractogram. Radiation: a wavelength of 1.5418 Å. Structure: a PBE-relaxed structure.

Most intense lines, 2θ from 5° to 70°, in order of rising 2θ:
2θ/deg, d_spacing, intensity
25.03, 3.558, 8.4
26.73, 3.335, 13.5
30.45, 2.936, 100.0
42.45, 2.129, 12.9
42.58, 2.123, 26.0
44.58, 2.032, 23.5
44.76, 2.025, 11.8
51.37, 1.779, 7.1
55.08, 1.667, 12.7
63.36, 1.468, 11.9

Structural model:
```
AcTbTm2Se4
1.0
7.050 0.000 0.000
0.000 4.049 0.000
-2.336 0.000 7.115
Ac Tb Tm Se
1 1 2 4
Cartesian
0.000 0.000 0.000 Ac
3.525 2.025 0.000 Tb
-1.168 2.025 3.558 Tm
2.357 0.000 3.558 Tm
0.078 0.000 5.204 Se
1.248 2.025 1.969 Se
3.465 2.025 5.146 Se
4.636 0.000 1.911 Se
```

=====

This entry pairs a crystal structure of YThC3 with its calculated powder diffractogram. Radiation: a wavelength of 1.5418 Å. Structure: a PBE-relaxed structure.

Most intense lines, 2θ from 5° to 70°, in order of rising 2θ:
2θ/deg, d_spacing, intensity
14.86, 5.960, 15.6
21.08, 4.215, 33.2
25.89, 3.441, 38.0
29.98, 2.980, 100.0
33.62, 2.666, 90.3
40.02, 2.253, 59.7
50.81, 1.797, 27.5
53.24, 1.721, 14.0
55.59, 1.653, 63.6
60.12, 1.539, 33.9

Structural model:
```
YThC3
1.0
-4.215 4.215 4.215
4.215 -4.215 4.215
4.215 4.215 -4.215
Y Th C
4 4 12
Cartesian
2.514 1.701 -1.701 Y
1.701 -1.701 2.514 Y
1.701 1.701 1.701 Y
-1.701 2.514 1.701 Y
4.617 -0.402 0.402 Th
0.402 4.617 -0.402 Th
-0.402 0.402 4.617 Th
3.813 3.813 3.813 Th
4.215 -2.107 2.527 C
4.215 -2.107 3.906 C
2.527 4.215 -2.107 C
3.906 4.215 -2.107 C
4.215 2.107 0.309 C
4.215 2.107 1.688 C
2.107 0.309 4.215 C
2.107 1.688 4.215 C
0.309 4.215 2.107 C
1.688 4.215 2.107 C
-2.107 2.527 4.215 C
-2.107 3.906 4.215 C
```

=====

This entry pairs a crystal structure of Tb3Au2 with its calculated powder diffractogram. Radiation: a wavelength of 1.5418 Å. Structure: a PBE-relaxed structure.

Most intense lines, 2θ from 5° to 70°, in order of rising 2θ:
2θ/deg, d_spacing, intensity
20.43, 4.346, 20.7
24.93, 3.572, 23.2
35.30, 2.542, 98.9
35.78, 2.509, 100.0
51.09, 1.788, 23.4
51.26, 1.782, 11.4
63.05, 1.474, 19.5
63.92, 1.456, 12.0
64.02, 1.454, 23.6
64.24, 1.450, 12.3

Structural model:
```
Tb3Au2
1.0
4.339 -2.513 0.000
4.339 2.513 0.000
-0.013 0.000 6.269
Tb Au
3 2
Cartesian
0.000 0.000 0.000 Tb
2.887 0.000 2.078 Tb
5.779 0.000 4.191 Tb
2.880 0.000 5.055 Au
5.785 0.000 1.215 Au
```

=====

This entry pairs a crystal structure of RbPmSe2 with its calculated powder diffractogram. Radiation: a wavelength of 1.5418 Å. Structure: a PBE-relaxed structure.

Most intense lines, 2θ from 5° to 70°, in order of rising 2θ:
2θ/deg, d_spacing, intensity
10.85, 8.154, 32.9
24.02, 3.705, 12.4
24.85, 3.583, 34.1
30.04, 2.975, 100.0
35.11, 2.556, 29.0
41.74, 2.164, 47.3
44.22, 2.048, 21.5
52.28, 1.750, 20.8
62.61, 1.484, 14.1
69.02, 1.361, 18.0

Structural model:
```
RbPmSe2
1.0
2.164 1.249 8.154
-2.164 1.249 8.154
0.000 -2.499 8.154
Rb Pm Se
1 1 2
Cartesian
0.000 0.000 0.000 Rb
0.000 0.000 20.319 Pm
0.000 0.000 5.633 Se
0.000 0.000 10.546 Se
```